Structure and computed PXRD pattern of Li3V2P4H2O16 (DFT lattice parameters and positions (PBE+U); Cu Ka).

Peak list (6 most intense, 10° ≤ 2θ ≤ 90°, sorted by position)
Position (°2θ), intensity, (hkl)
16.35, 71, 1 1 -1
24.83, 100, -2 1 1
25.19, 67, 1 -2 2
29.00, 67, 1 0 2
29.18, 69, 1 2 0
33.04, 56, 2 -2 2

Atomic structure:
```
Li3V2P4H2O16
1.0
7.910 0.000 0.000
-1.851 9.219 0.000
-1.864 -4.868 7.908
Li V P H O
6 4 8 4 32
direct
0.000 0.000 0.000
0.005 0.495 0.487
0.196 0.200 0.697
0.486 0.620 0.377
0.689 0.317 0.595
0.693 0.814 0.079
0.345 0.901 0.037
0.347 0.402 0.536
0.847 0.156 0.788
0.852 0.655 0.285
0.079 0.007 0.296
0.079 0.511 0.789
0.114 0.399 0.180
0.116 0.896 0.682
0.582 0.912 0.392
0.585 0.412 0.896
0.608 0.296 0.277
0.611 0.798 0.776
0.341 0.906 0.554
0.358 0.405 0.024
0.832 0.667 0.795
0.837 0.166 0.284
0.016 0.026 0.703
0.029 0.849 0.310
0.043 0.353 0.804
0.160 0.396 0.344
0.160 0.891 0.846
0.181 0.491 0.661
0.188 0.986 0.170
0.198 0.165 0.472
0.205 0.677 0.961
0.287 0.475 0.159
0.296 0.966 0.658
0.399 0.344 0.917
0.416 0.835 0.422
0.485 0.132 0.107
0.499 0.639 0.601
0.506 0.819 0.904
0.518 0.317 0.413
0.532 0.913 0.224
0.533 0.419 0.735
0.651 0.459 0.270
0.672 0.955 0.767
0.693 0.292 0.877
0.698 0.787 0.367
0.701 0.593 0.054
0.706 0.092 0.542
0.790 0.774 0.860
0.798 0.277 0.340
0.897 0.531 0.721
0.902 0.029 0.218
0.987 0.516 0.205
0.993 0.718 0.526
0.995 0.220 0.026
```